This entry pairs a crystal structure of Ho2Co17 with its computed powder XRD pattern. Radiation: Cu Kα X-rays. Structure: DFT lattice parameters and positions (GGA-PBE).
Peak positions follow from Bragg's law for the DFT cell and can differ from measured ones.

Structure:
```
data_Ho2Co17
_space_group_name_H-M_alt 'R -3 m'
_space_group_IT_number 166
_space_group_name_Hall '-R 3 2"'
_cell_length_a 8.2734
_cell_length_b 8.2734
_cell_length_c 12.1322
_cell_angle_alpha 90.00
_cell_angle_beta 90.00
_cell_angle_gamma 120.00
loop_
_atom_site_label
_atom_site_type_symbol
_atom_site_fract_x
_atom_site_fract_y
_atom_site_fract_z
_atom_site_occupancy
Ho1 Ho 0.0000 0.0000 0.1562 1
Co1 Co 0.0000 0.0000 0.4026 1
Co2 Co 0.0000 0.2890 0.5000 1
Co3 Co 0.0000 0.5000 0.0000 1
Co4 Co 0.0026 0.5013 0.3473 1
```

Peak list (8 most intense, 2θ from 10° to 80°, by intensity)
2θ/deg  I/Imax
44.03  100
43.77  65
44.84  51
37.66  42
30.92  41
38.91  34
63.80  28
64.46  27